Calculated powder X-ray diffraction pattern
Compound: Pr2HoO4
Radiation: a wavelength of 1.5418 Å
Structure: the GGA-PBE geometry in OQMD

Cell and atoms:
Cell: 9.8919 9.8919 9.8919 Å, 90.00 90.00 90.00°
Space group Fd-3m (No. 227, origin choice 2)
Unique sites:
Pr 0.0000 0.0000 0.0000
Ho 0.1250 0.1250 0.6250
O 0.0002 0.0002 0.2498

Most intense lines, 10 to 90 degrees two-theta, by angle:
Position (°2θ)  intensity  index
25.47  30  2 2 0
29.96  100  3 1 1
31.33  21  2 2 2
47.78  37  5 1 1
52.32  41  4 4 0
73.54  23  5 5 3